(1)
This entry pairs a crystal structure of Tl2AgPdCl6 with its theoretical PXRD pattern. Radiation: CuKα. Structure: a DFT-relaxed cell (GGA-PBE, OQMD).
No peak broadening, texture or thermal motion is included.

Cell and atoms:
```
data_Tl2AgPdCl6
_chemical_formula_sum 'Tl6 Ag3 Pd3 Cl18'
_space_group_name_H-M_alt 'R -3'
_space_group_IT_number 148
_space_group_name_Hall '-R 3'
_cell_length_a 7.1691
_cell_length_b 7.1691
_cell_length_c 17.2662
_cell_angle_alpha 90.00
_cell_angle_beta 90.00
_cell_angle_gamma 120.00
loop_
_atom_site_label
_atom_site_type_symbol
_atom_site_fract_x
_atom_site_fract_y
_atom_site_fract_z
Tl1 Tl 0.0000 0.0000 0.2490
Ag1 Ag 0.0000 0.0000 0.5000
Pd1 Pd 0.0000 0.0000 0.0000
Cl1 Cl 0.0138 0.4741 0.7475
```

Main lines, most intense first (5 to 70 degrees two-theta):
- 2θ = 24.8°, I = 100, (1 1 0)
- 2θ = 25.1°, I = 99, (1 0 4)
- 2θ = 35.6°, I = 90, (0 2 4)
- 2θ = 43.9°, I = 47, (3 -1 4)
- 2θ = 51.6°, I = 30, (2 0 8)
- 2θ = 51.0°, I = 30, (2 2 0)
- 2θ = 30.6°, I = 29, (2 0 2)
- 2θ = 43.7°, I = 25, (3 0 0)
- 2θ = 44.4°, I = 22, (0 1 8)
- 2θ = 58.1°, I = 21, (1 2 8)

---

(2)
This entry pairs a crystal structure of PrHoCo2Ge2C with its theoretical PXRD pattern. Radiation: CuKα. Structure: a DFT-relaxed cell (GGA-PBE, OQMD).
No peak broadening, texture or thermal motion is included.

Cell and atoms:
```
data_PrHoCo2Ge2C
_chemical_formula_sum 'Pr2 Ho2 Co4 Ge4 C2'
_space_group_name_H-M_alt 'C 1 m 1'
_space_group_IT_number 8
_space_group_name_Hall 'C -2y'
_cell_length_a 10.8939
_cell_length_b 3.9889
_cell_length_c 6.9492
_cell_angle_alpha 90.00
_cell_angle_beta 128.62
_cell_angle_gamma 90.00
loop_
_atom_site_label
_atom_site_type_symbol
_atom_site_fract_x
_atom_site_fract_y
_atom_site_fract_z
Pr1 Pr 0.0000 0.0000 0.0000
Ho1 Ho 0.1180 0.0000 0.5908
Co1 Co 0.2508 0.5000 0.3815
Co2 Co 0.3735 0.0000 0.2223
Ge1 Ge 0.2284 0.5000 0.0111
Ge2 Ge 0.3915 0.0000 0.5822
C1 C 0.0650 0.5000 0.3126
```

Main lines, most intense first (5 to 70 degrees two-theta):
- 2θ = 35.7°, I = 100, (1 1 -2)
- 2θ = 33.5°, I = 85, (3 1 -1)
- 2θ = 39.0°, I = 67, (3 1 0)
- 2θ = 33.2°, I = 59, (1 1 1)
- 2θ = 36.0°, I = 50, (3 1 -2)
- 2θ = 45.5°, I = 49, (0 2 0)
- 2θ = 34.4°, I = 46, (4 0 -1)
- 2θ = 40.5°, I = 38, (4 0 -3)
- 2θ = 33.0°, I = 34, (0 0 2)
- 2θ = 24.6°, I = 33, (1 1 0)

---

(3)
This entry pairs a crystal structure of Nb3AgSn5 with its theoretical PXRD pattern. Radiation: CuKα. Structure: a DFT-relaxed cell (GGA-PBE, OQMD).
No peak broadening, texture or thermal motion is included.

Cell and atoms:
```
data_Nb3AgSn5
_chemical_formula_sum 'Nb3 Ag1 Sn5'
_space_group_name_H-M_alt 'P 6/m m m'
_space_group_IT_number 191
_space_group_name_Hall '-P 6 2'
_cell_length_a 5.8026
_cell_length_b 5.8026
_cell_length_c 7.5744
_cell_angle_alpha 90.00
_cell_angle_beta 90.00
_cell_angle_gamma 120.00
loop_
_atom_site_label
_atom_site_type_symbol
_atom_site_fract_x
_atom_site_fract_y
_atom_site_fract_z
Nb1 Nb 0.0000 0.5000 0.0000
Ag1 Ag 0.0000 0.0000 0.5000
Sn1 Sn 0.0000 0.0000 0.0000
Sn2 Sn 0.3333 0.6667 0.3139
```

Main lines, most intense first (5 to 70 degrees two-theta):
- 2θ = 30.8°, I = 100, (1 1 0)
- 2θ = 43.2°, I = 97, (2 0 2)
- 2θ = 29.5°, I = 54, (1 0 2)
- 2θ = 37.7°, I = 46, (2 0 1)
- 2θ = 64.2°, I = 34, (2 2 0)
- 2θ = 35.6°, I = 33, (0 0 3)
- 2θ = 33.1°, I = 33, (1 1 1)
- 2θ = 40.0°, I = 25, (1 0 3)
- 2θ = 47.8°, I = 22, (1 1 3)
- 2θ = 54.0°, I = 20, (2 1 2)

---

(4)
This entry pairs a crystal structure of CdIr9 with its theoretical PXRD pattern. Radiation: CuKα. Structure: a DFT-relaxed cell (GGA-PBE, OQMD).
No peak broadening, texture or thermal motion is included.

Cell and atoms:
```
data_CdIr9
_chemical_formula_sum 'Cd2 Ir18'
_space_group_name_H-M_alt 'P 4/n m m'
_space_group_IT_number 129
_cell_length_a 2.7487
_cell_length_b 2.7487
_cell_length_c 51.3993
_cell_angle_alpha 90.00
_cell_angle_beta 90.00
_cell_angle_gamma 90.00
loop_
_space_group_symop_operation_xyz
'x,y,z'
'-x,-y,-z'
'-y+1/2,x,z'
'y+1/2,-x,-z'
'-x+1/2,-y+1/2,z'
'x+1/2,y+1/2,-z'
'y,-x+1/2,z'
'-y,x+1/2,-z'
'x+1/2,-y,-z'
'-x+1/2,y,z'
'-y,-x,-z'
'y,x,z'
'-x,y+1/2,-z'
'x,-y+1/2,z'
'y+1/2,x+1/2,-z'
'-y+1/2,-x+1/2,z'
loop_
_atom_site_label
_atom_site_type_symbol
_atom_site_fract_x
_atom_site_fract_y
_atom_site_fract_z
Cd1 Cd 0.2500 0.2500 0.1387
Ir1 Ir 0.2500 0.2500 0.2183
Ir2 Ir 0.2500 0.2500 0.2938
Ir3 Ir 0.2500 0.2500 0.3688
Ir4 Ir 0.2500 0.2500 0.4439
Ir5 Ir 0.2500 0.2500 0.5187
Ir6 Ir 0.2500 0.2500 0.5936
Ir7 Ir 0.2500 0.2500 0.6687
Ir8 Ir 0.2500 0.2500 0.7440
Ir9 Ir 0.2500 0.2500 0.8180
```

Main lines, most intense first (5 to 70 degrees two-theta):
- 2θ = 39.9°, I = 100, (1 0 13)
- 2θ = 46.7°, I = 47, (1 1 0)
- 2θ = 41.0°, I = 44, (1 0 14)
- 2θ = 69.1°, I = 18, (1 1 27)
- 2θ = 68.2°, I = 15, (2 0 0)
- 2θ = 5.2°, I = 15, (0 0 3)
- 2θ = 47.8°, I = 13, (0 0 27)
- 2θ = 67.6°, I = 13, (1 1 26)
- 2θ = 45.9°, I = 10, (0 0 26)
- 2θ = 8.6°, I = 5, (0 0 5)

---

(5)
This entry pairs a crystal structure of Cu4Ag3 with its theoretical PXRD pattern. Radiation: CuKα. Structure: a DFT-relaxed cell (GGA-PBE, OQMD).
No peak broadening, texture or thermal motion is included.

Cell and atoms:
```
data_Cu4Ag3
_chemical_formula_sum 'Cu8 Ag6'
_space_group_name_H-M_alt 'I 4/m m m'
_space_group_IT_number 139
_space_group_name_Hall '-I 4 2'
_cell_length_a 2.8022
_cell_length_b 2.8022
_cell_length_c 25.8720
_cell_angle_alpha 90.00
_cell_angle_beta 90.00
_cell_angle_gamma 90.00
loop_
_atom_site_label
_atom_site_type_symbol
_atom_site_fract_x
_atom_site_fract_y
_atom_site_fract_z
Cu1 Cu 0.0000 0.0000 0.0733
Cu2 Cu 0.0000 0.0000 0.2199
Ag1 Ag 0.0000 0.0000 0.3536
Ag2 Ag 0.0000 0.0000 0.5000
```

Main lines, most intense first (5 to 70 degrees two-theta):
- 2θ = 40.4°, I = 100, (1 0 7)
- 2θ = 45.8°, I = 35, (1 1 0)
- 2θ = 69.6°, I = 17, (1 1 14)
- 2θ = 49.3°, I = 13, (0 0 14)
- 2θ = 66.8°, I = 11, (2 0 0)
- 2θ = 32.1°, I = 5, (1 0 1)
- 2θ = 20.6°, I = 3, (0 0 6)
- 2θ = 27.6°, I = 2, (0 0 8)
- 2θ = 36.5°, I = 2, (1 0 5)
- 2θ = 54.3°, I = 1, (1 1 8)

---

(6)
This entry pairs a crystal structure of ScCuHgSb with its theoretical PXRD pattern. Radiation: CuKα. Structure: a DFT-relaxed cell (GGA-PBE, OQMD).
No peak broadening, texture or thermal motion is included.

Cell and atoms:
```
data_ScCuHgSb
_chemical_formula_sum 'Sc4 Cu4 Hg4 Sb4'
_space_group_name_H-M_alt 'F -4 3 m'
_space_group_IT_number 216
_space_group_name_Hall 'F -4 2 3'
_cell_length_a 6.9370
_cell_length_b 6.9370
_cell_length_c 6.9370
_cell_angle_alpha 90.00
_cell_angle_beta 90.00
_cell_angle_gamma 90.00
loop_
_atom_site_label
_atom_site_type_symbol
_atom_site_fract_x
_atom_site_fract_y
_atom_site_fract_z
Sc1 Sc 0.0000 0.0000 0.0000
Cu1 Cu 0.2500 0.2500 0.7500
Hg1 Hg 0.2500 0.2500 0.2500
Sb1 Sb 0.0000 0.0000 0.5000
```

Main lines, most intense first (5 to 70 degrees two-theta):
- 2θ = 36.6°, I = 100, (2 2 0)
- 2θ = 66.0°, I = 35, (4 2 2)
- 2θ = 22.2°, I = 28, (1 1 1)
- 2θ = 52.8°, I = 17, (4 0 0)
- 2θ = 43.3°, I = 16, (3 1 1)
- 2θ = 57.9°, I = 7, (3 3 1)
- 2θ = 25.7°, I = 7, (2 0 0)
- 2θ = 59.6°, I = 3, (4 2 0)
- 2θ = 45.3°, I = 2, (2 2 2)

---

(7)
This entry pairs a crystal structure of Gd3In3NiAgPt with its theoretical PXRD pattern. Radiation: CuKα. Structure: a DFT-relaxed cell (GGA-PBE, OQMD).
No peak broadening, texture or thermal motion is included.

Cell and atoms:
```
data_Gd3In3NiAgPt
_chemical_formula_sum 'Gd3 In3 Ni1 Ag1 Pt1'
_space_group_name_H-M_alt 'P -6'
_space_group_IT_number 174
_space_group_name_Hall 'P -6'
_cell_length_a 7.7037
_cell_length_b 7.7037
_cell_length_c 3.8963
_cell_angle_alpha 90.00
_cell_angle_beta 90.00
_cell_angle_gamma 120.00
loop_
_atom_site_label
_atom_site_type_symbol
_atom_site_fract_x
_atom_site_fract_y
_atom_site_fract_z
Gd1 Gd 0.0176 0.6024 0.0000
In1 In 0.2467 0.0037 0.5000
Ni1 Ni 0.0000 0.0000 0.0000
Ag1 Ag 0.6667 0.3333 0.5000
Pt1 Pt 0.3333 0.6667 0.5000
```

Main lines, most intense first (5 to 70 degrees two-theta):
- 2θ = 32.7°, I = 100, (1 1 1)
- 2θ = 35.4°, I = 76, (2 0 1)
- 2θ = 35.6°, I = 54, (1 2 0)
- 2θ = 40.6°, I = 31, (3 0 0)
- 2θ = 42.7°, I = 27, (2 1 1)
- 2θ = 65.5°, I = 26, (2 3 1)
- 2θ = 60.0°, I = 23, (1 2 2)
- 2θ = 46.6°, I = 22, (0 0 2)
- 2θ = 63.5°, I = 16, (3 0 2)
- 2θ = 54.9°, I = 15, (1 3 1)

---

(8)
This entry pairs a crystal structure of TbGd2Mg3Pt3 with its theoretical PXRD pattern. Radiation: CuKα. Structure: a DFT-relaxed cell (GGA-PBE, OQMD).
No peak broadening, texture or thermal motion is included.

Cell and atoms:
```
data_TbGd2Mg3Pt3
_chemical_formula_sum 'Tb2 Gd4 Mg6 Pt6'
_space_group_name_H-M_alt 'A m m 2'
_space_group_IT_number 38
_space_group_name_Hall 'A 2 -2'
_cell_length_a 4.0822
_cell_length_b 12.8048
_cell_length_c 7.3951
_cell_angle_alpha 90.00
_cell_angle_beta 90.00
_cell_angle_gamma 90.00
loop_
_atom_site_label
_atom_site_type_symbol
_atom_site_fract_x
_atom_site_fract_y
_atom_site_fract_z
Tb1 Tb 0.0000 0.0000 0.0000
Gd1 Gd 0.0000 0.2053 0.6153
Mg1 Mg 0.5000 0.0000 0.6547
Mg2 Mg 0.5000 0.1220 0.2876
Pt1 Pt 0.0000 0.0000 0.4093
Pt2 Pt 0.5000 0.1661 0.9103
```

Main lines, most intense first (5 to 70 degrees two-theta):
- 2θ = 35.6°, I = 100, (1 4 0)
- 2θ = 32.7°, I = 67, (1 3 1)
- 2θ = 24.1°, I = 53, (0 0 2)
- 2θ = 42.3°, I = 40, (0 6 0)
- 2θ = 43.5°, I = 38, (1 4 2)
- 2θ = 25.9°, I = 28, (1 2 0)
- 2θ = 67.8°, I = 27, (1 7 3)
- 2θ = 63.0°, I = 25, (2 6 0)
- 2θ = 44.4°, I = 23, (2 0 0)
- 2θ = 56.5°, I = 17, (1 7 1)